Theoretical PXRD pattern of Tl3Cd11 for Cu Kα, from a structure optimized by DFT (PBE).

Crystal structure
```
data_Tl3Cd11
_space_group_name_H-M_alt 'I m m m'
_space_group_IT_number 71
_space_group_name_Hall '-I 2 2'
_cell_length_a 4.987
_cell_length_b 11.211
_cell_length_c 12.805
_cell_angle_alpha 90.00
_cell_angle_beta 90.00
_cell_angle_gamma 90.00
loop_
_atom_site_label
_atom_site_fract_x
_atom_site_fract_y
_atom_site_fract_z
Tl1 0.000 0.000 0.000
Tl2 0.000 0.000 0.274
Cd1 0.000 0.148 0.500
Cd2 0.000 0.283 0.147
Cd3 0.000 0.368 0.369
Cd4 0.000 0.500 0.000
```

Largest 6 diffraction maxima, in order of falling intensity, 2θ = 15–90°:
31.88 deg, d 2.808, rel. 100.0, hkl 1 2 3; 34.23 deg, d 2.619, rel. 75.8, hkl 1 1 4; 36.02 deg, d 2.494, rel. 73.8, hkl 2 0 0; 37.47 deg, d 2.400, rel. 59.3, hkl 1 4 1; 29.88 deg, d 2.990, rel. 49.8, hkl 1 3 0; 63.56 deg, d 1.464, rel. 49.0, hkl 1 4 7